# 1
This entry pairs a crystal structure of Pr2CuRu with its calculated powder X-ray diffraction pattern. Radiation: Cu Kα (λ = 1.5418 Å). Structure: the PBE geometry in the Materials Project.
Neutral-atom scattering factors, no anomalous dispersion.

Structure:
Unit cell a=7.1658 b=7.1658 c=7.1658 alpha=90.00 beta=90.00 gamma=90.00
Element x y z (fractional)
Pr: 0.2500 0.2500 0.2500
Pr: 0.2500 0.2500 0.7500
Pr: 0.2500 0.7500 0.2500
Pr: 0.2500 0.7500 0.7500
Pr: 0.7500 0.2500 0.2500
Pr: 0.7500 0.2500 0.7500
Pr: 0.7500 0.7500 0.2500
Pr: 0.7500 0.7500 0.7500
Cu: 0.0000 0.0000 0.0000
Cu: 0.0000 0.5000 0.5000
Cu: 0.5000 0.0000 0.5000
Cu: 0.5000 0.5000 0.0000
Ru: 0.0000 0.0000 0.5000
Ru: 0.0000 0.5000 0.0000
Ru: 0.5000 0.0000 0.0000
Ru: 0.5000 0.5000 0.5000

Principal peaks in the range 15 to 90 degrees two-theta, in order of rising 2θ:
| 2theta | intensity |
| --- | --- |
| 21.5 | 1 |
| 24.9 | 7 |
| 35.4 | 100 |
| 41.8 | 1 |
| 43.8 | 2 |
| 51.0 | 18 |
| 57.5 | 3 |
| 63.6 | 35 |
| 75.0 | 11 |
| 80.4 | 2 |
| 85.8 | 15 |

---

# 2
This entry pairs a crystal structure of Pr4CuS7 with its calculated powder X-ray diffraction pattern. Radiation: Cu Kα (λ = 1.5418 Å). Structure: the PBE geometry in the Materials Project.
Neutral-atom scattering factors, no anomalous dispersion.

Structure:
Unit cell a=9.8078 b=9.8078 c=7.1131 alpha=90.00 beta=90.00 gamma=120.00
Element x y z (fractional)
Pr: 0.1523 0.3729 0.0000
Pr: 0.2207 0.8477 0.0000
Pr: 0.3333 0.6667 0.4620
Pr: 0.3729 0.2207 0.5000
Pr: 0.6271 0.7793 0.0000
Pr: 0.6667 0.3333 0.9620
Pr: 0.7793 0.1523 0.5000
Pr: 0.8477 0.6271 0.5000
Cu: 0.0000 0.0000 0.1093
Cu: 0.0000 0.0000 0.6093
S: 0.0731 0.5605 0.2404
S: 0.1107 0.2595 0.5956
S: 0.1488 0.8893 0.5956
S: 0.2595 0.1488 0.0956
S: 0.3333 0.6667 0.8432
S: 0.4395 0.5126 0.2404
S: 0.4874 0.9269 0.2404
S: 0.5126 0.0731 0.7404
S: 0.5605 0.4874 0.7404
S: 0.6667 0.3333 0.3432
S: 0.7405 0.8512 0.5956
S: 0.8512 0.1107 0.0956
S: 0.8893 0.7405 0.0956
S: 0.9269 0.4395 0.7404

Principal peaks in the range 15 to 90 degrees two-theta, in order of rising 2θ:
| 2theta | intensity |
| --- | --- |
| 20.9 | 13 |
| 24.4 | 100 |
| 25.0 | 27 |
| 27.2 | 13 |
| 30.6 | 14 |
| 32.8 | 37 |
| 34.1 | 17 |
| 36.7 | 46 |
| 37.7 | 21 |
| 43.7 | 35 |
| 44.9 | 21 |
| 50.9 | 13 |

---

# 3
This entry pairs a crystal structure of Pr3CuSiS7 with its calculated powder X-ray diffraction pattern. Radiation: Cu Kα (λ = 1.5418 Å). Structure: the PBE geometry in the Materials Project.
Neutral-atom scattering factors, no anomalous dispersion.

Structure:
Unit cell a=10.2820 b=10.2820 c=5.7982 alpha=90.00 beta=90.00 gamma=120.00
Element x y z (fractional)
Pr: 0.1238 0.3567 0.0000
Pr: 0.2329 0.8762 0.0000
Pr: 0.3567 0.2329 0.5000
Pr: 0.6433 0.7671 0.0000
Pr: 0.7671 0.1238 0.5000
Pr: 0.8762 0.6433 0.5000
Cu: 0.0000 0.0000 0.4847
Cu: 0.0000 0.0000 0.9847
Si: 0.3333 0.6667 0.5854
Si: 0.6667 0.3333 0.0854
S: 0.0858 0.2502 0.4907
S: 0.1138 0.5894 0.7276
S: 0.1643 0.9142 0.4907
S: 0.2502 0.1643 0.9907
S: 0.3333 0.6667 0.2210
S: 0.4106 0.5245 0.7276
S: 0.4755 0.8862 0.7276
S: 0.5245 0.1138 0.2276
S: 0.5894 0.4755 0.2276
S: 0.6667 0.3333 0.7210
S: 0.7498 0.8357 0.4907
S: 0.8357 0.0858 0.9907
S: 0.8862 0.4106 0.2276
S: 0.9142 0.7498 0.9907

Principal peaks in the range 15 to 90 degrees two-theta, in order of rising 2θ:
| 2theta | intensity |
| --- | --- |
| 18.3 | 28 |
| 23.1 | 44 |
| 25.2 | 100 |
| 26.5 | 40 |
| 30.8 | 33 |
| 32.5 | 27 |
| 34.9 | 41 |
| 36.4 | 58 |
| 39.7 | 53 |
| 41.1 | 53 |
| 47.2 | 35 |
| 48.4 | 31 |

---

# 4
This entry pairs a crystal structure of Pr5CuSe8 with its calculated powder X-ray diffraction pattern. Radiation: Cu Kα (λ = 1.5418 Å). Structure: the PBE geometry in the Materials Project.
Neutral-atom scattering factors, no anomalous dispersion.

Structure:
Unit cell a=7.7544 b=7.7544 c=7.7544 alpha=110.35 beta=110.35 gamma=107.73
Element x y z (fractional)
Pr: 0.0000 0.0000 0.0000
Pr: 0.1333 0.5111 0.8816
Pr: 0.4889 0.3705 0.6222
Pr: 0.6295 0.2517 0.1184
Pr: 0.7483 0.8667 0.3778
Cu: 0.2500 0.7500 0.5000
Se: 0.0112 0.2519 0.3962
Se: 0.2283 0.0978 0.7391
Se: 0.3587 0.4891 0.2609
Se: 0.3850 0.9888 0.2407
Se: 0.5109 0.7717 0.8696
Se: 0.7481 0.1443 0.7593
Se: 0.8557 0.6150 0.6038
Se: 0.9022 0.6413 0.1304

Principal peaks in the range 15 to 90 degrees two-theta, in order of rising 2θ:
| 2theta | intensity |
| --- | --- |
| 24.1 | 24 |
| 24.5 | 37 |
| 31.0 | 84 |
| 31.9 | 82 |
| 32.0 | 100 |
| 37.2 | 71 |
| 37.7 | 43 |
| 37.9 | 46 |
| 47.5 | 32 |
| 52.6 | 23 |
| 64.7 | 24 |
| 64.8 | 22 |

---

# 5
This entry pairs a crystal structure of Pr3CuSnSe7 with its calculated powder X-ray diffraction pattern. Radiation: Cu Kα (λ = 1.5418 Å). Structure: the PBE geometry in the Materials Project.
Neutral-atom scattering factors, no anomalous dispersion.

Structure:
Unit cell a=10.7083 b=10.7083 c=6.3649 alpha=90.00 beta=90.00 gamma=120.00
Element x y z (fractional)
Pr: 0.1356 0.7805 0.0000
Pr: 0.2195 0.3552 0.0000
Pr: 0.3552 0.1356 0.5000
Pr: 0.6448 0.8644 0.0000
Pr: 0.7805 0.6448 0.5000
Pr: 0.8644 0.2195 0.5000
Cu: 0.0000 0.0000 0.0448
Cu: 0.0000 0.0000 0.5448
Sn: 0.3333 0.6667 0.4225
Sn: 0.6667 0.3333 0.9225
Se: 0.0853 0.5130 0.2490
Se: 0.0998 0.8436 0.5320
Se: 0.1564 0.2562 0.5320
Se: 0.2562 0.0998 0.0320
Se: 0.3333 0.6667 0.8189
Se: 0.4277 0.9147 0.2490
Se: 0.4870 0.5723 0.2490
Se: 0.5130 0.4277 0.7490
Se: 0.5723 0.0853 0.7490
Se: 0.6667 0.3333 0.3189
Se: 0.7438 0.9002 0.5320
Se: 0.8436 0.7438 0.0320
Se: 0.9002 0.1564 0.0320
Se: 0.9147 0.4870 0.7490

Principal peaks in the range 15 to 90 degrees two-theta, in order of rising 2θ:
| 2theta | intensity |
| --- | --- |
| 23.7 | 58 |
| 28.0 | 25 |
| 29.1 | 47 |
| 29.7 | 54 |
| 32.2 | 41 |
| 33.5 | 100 |
| 34.2 | 59 |
| 34.9 | 42 |
| 37.7 | 30 |
| 38.2 | 41 |
| 44.2 | 30 |
| 47.1 | 41 |

---

# 6
This entry pairs a crystal structure of SrPrCuSe3 with its calculated powder X-ray diffraction pattern. Radiation: Cu Kα (λ = 1.5418 Å). Structure: the PBE geometry in the Materials Project.
Neutral-atom scattering factors, no anomalous dispersion.

Structure:
Unit cell a=11.1043 b=4.1812 c=13.6428 alpha=90.00 beta=90.00 gamma=90.00
Element x y z (fractional)
Sr: 0.2155 0.2500 0.0001
Sr: 0.2845 0.7500 0.5001
Sr: 0.7155 0.2500 0.4999
Sr: 0.7845 0.7500 0.9999
Pr: 0.0190 0.7500 0.2628
Pr: 0.4810 0.2500 0.7628
Pr: 0.5190 0.7500 0.2372
Pr: 0.9810 0.2500 0.7372
Cu: 0.2338 0.7500 0.7766
Cu: 0.2662 0.2500 0.2766
Cu: 0.7338 0.7500 0.7234
Cu: 0.7662 0.2500 0.2234
Se: 0.0523 0.7500 0.8841
Se: 0.1028 0.2500 0.3992
Se: 0.2374 0.2500 0.6701
Se: 0.2626 0.7500 0.1701
Se: 0.3972 0.7500 0.8992
Se: 0.4477 0.2500 0.3841
Se: 0.5523 0.7500 0.6159
Se: 0.6028 0.2500 0.1008
Se: 0.7374 0.2500 0.8299
Se: 0.7626 0.7500 0.3299
Se: 0.8972 0.7500 0.6008
Se: 0.9477 0.2500 0.1159

Principal peaks in the range 15 to 90 degrees two-theta, in order of rising 2θ:
| 2theta | intensity |
| --- | --- |
| 27.4 | 48 |
| 29.0 | 53 |
| 30.1 | 98 |
| 32.2 | 30 |
| 33.0 | 30 |
| 33.3 | 100 |
| 34.9 | 36 |
| 38.0 | 24 |
| 39.5 | 24 |
| 42.8 | 53 |
| 43.0 | 29 |
| 43.3 | 51 |

---

# 7
This entry pairs a crystal structure of PrCu2Sn2 with its calculated powder X-ray diffraction pattern. Radiation: Cu Kα (λ = 1.5418 Å). Structure: the PBE geometry in the Materials Project.
Neutral-atom scattering factors, no anomalous dispersion.

Structure:
Unit cell a=4.4798 b=4.4798 c=10.6893 alpha=90.00 beta=90.00 gamma=90.00
Element x y z (fractional)
Pr: 0.2500 0.2500 0.2371
Pr: 0.7500 0.7500 0.7629
Cu: 0.2500 0.2500 0.6352
Cu: 0.2500 0.7500 0.0000
Cu: 0.7500 0.2500 0.0000
Cu: 0.7500 0.7500 0.3648
Sn: 0.2500 0.2500 0.8724
Sn: 0.2500 0.7500 0.5000
Sn: 0.7500 0.2500 0.5000
Sn: 0.7500 0.7500 0.1276

Principal peaks in the range 15 to 90 degrees two-theta, in order of rising 2θ:
| 2theta | intensity |
| --- | --- |
| 28.2 | 13 |
| 32.1 | 60 |
| 32.9 | 100 |
| 40.3 | 67 |
| 44.3 | 22 |
| 47.1 | 25 |
| 52.4 | 30 |
| 58.3 | 22 |
| 59.5 | 12 |
| 63.7 | 20 |
| 68.5 | 24 |
| 84.4 | 14 |

---

# 8
This entry pairs a crystal structure of Pr2Cu3Sn6 with its calculated powder X-ray diffraction pattern. Radiation: Cu Kα (λ = 1.5418 Å). Structure: the PBE geometry in the Materials Project.
Neutral-atom scattering factors, no anomalous dispersion.

Structure:
Unit cell a=13.4792 b=13.4792 c=13.4792 alpha=160.84 beta=160.84 gamma=27.22
Element x y z (fractional)
Pr: 0.0000 0.0000 0.0000
Pr: 0.3117 0.3117 0.0000
Cu: 0.4024 0.9024 0.5000
Cu: 0.5503 0.5503 0.0000
Cu: 0.9024 0.4024 0.5000
Sn: 0.1044 0.6044 0.5000
Sn: 0.2161 0.7161 0.5000
Sn: 0.4541 0.4541 0.0000
Sn: 0.6044 0.1044 0.5000
Sn: 0.7161 0.2161 0.5000
Sn: 0.8458 0.8458 0.0000

Principal peaks in the range 15 to 90 degrees two-theta, in order of rising 2θ:
| 2theta | intensity |
| --- | --- |
| 27.2 | 21 |
| 29.0 | 85 |
| 31.1 | 47 |
| 31.3 | 50 |
| 35.0 | 98 |
| 40.2 | 100 |
| 44.9 | 35 |
| 49.6 | 21 |
| 51.7 | 23 |
| 53.8 | 20 |
| 58.2 | 34 |
| 69.7 | 27 |